[1]
K2HgSbPt: simulated powder diffraction line list (a wavelength of 1.5418 Å), based on a crystal structure in Alexandria, relaxed with GGA-PBE.
Lines closer than 0.1° are merged.

Crystal structure
Lattice parameters (Å, degrees): 6.376 6.376 4.963 90.00 90.00 90.00
Space group P4/mmm (No. 123)
Symmetry-distinct sites (fractional):
K 0.000 0.500 0.000 (multiplicity 2)
Hg 0.000 0.000 0.500 (multiplicity 1)
Sb 0.500 0.500 0.500 (multiplicity 1)
Pt 0.500 0.500 0.000 (multiplicity 1)

Largest 10 diffraction maxima, in order of falling intensity, 10 to 90 degrees two-theta:
hkl 1 1 0, d 4.508, 2θ 19.69, I = 100
hkl 2 0 0, d 3.188, 2θ 27.99, I = 84
hkl 1 0 1, d 3.916, 2θ 22.71, I = 57
hkl 2 0 2, d 1.958, 2θ 46.37, I = 42
hkl 2 2 2, d 1.668, 2θ 55.07, I = 36
hkl 2 1 1, d 2.472, 2θ 36.34, I = 35
hkl 2 2 0, d 2.254, 2θ 40.00, I = 32
hkl 1 1 2, d 2.174, 2θ 41.54, I = 31
hkl 3 1 0, d 2.016, 2θ 44.96, I = 25
hkl 4 2 2, d 1.236, 2θ 77.19, I = 25

[2]
KBe2Ge: simulated powder diffraction line list (a wavelength of 1.5418 Å), based on a crystal structure in Alexandria, relaxed with GGA-PBE.
Lines closer than 0.1° are merged.

Crystal structure
Lattice parameters (Å, degrees): 3.774 3.947 12.110 83.22 89.40 90.00
Space group P-1 (No. 2)
Symmetry-distinct sites (fractional):
K 0.239 0.324 0.317 (multiplicity 2)
Be 0.248 0.079 0.042 (multiplicity 2)
Be 0.252 0.598 0.949 (multiplicity 2)
Ge 0.255 0.126 0.845 (multiplicity 2)

Largest 10 diffraction maxima, in order of falling intensity, 10 to 90 degrees two-theta:
hkl 1 0 -2, d 3.181, 2θ 28.05, I = 100
hkl 1 1 0, d 2.718, 2θ 32.95, I = 99
hkl 1 0 2, d 3.212, 2θ 27.78, I = 99
hkl 0 0 2, d 6.012, 2θ 14.73, I = 82
hkl 0 1 4, d 2.534, 2θ 35.42, I = 66
hkl 0 1 -2, d 3.119, 2θ 28.62, I = 58
hkl 0 1 2, d 3.476, 2θ 25.63, I = 54
hkl 0 1 -3, d 2.650, 2θ 33.82, I = 42
hkl 2 0 0, d 1.887, 2θ 48.23, I = 38
hkl 1 0 -4, d 2.339, 2θ 38.48, I = 35

[3]
Sm4Al16Fe3: simulated powder diffraction line list (a wavelength of 1.5418 Å), based on a crystal structure in Alexandria, relaxed with GGA-PBE.
Lines closer than 0.1° are merged.

Crystal structure
Lattice parameters (Å, degrees): 6.078 6.078 11.363 90.00 90.00 90.00
Space group P4/mmm (No. 123)
Symmetry-distinct sites (fractional):
Sm 0.000 0.500 0.193 (multiplicity 4)
Al 0.000 0.000 0.195 (multiplicity 2)
Al 0.224 0.224 0.000 (multiplicity 4)
Al 0.252 0.252 0.387 (multiplicity 8)
Al 0.500 0.500 0.212 (multiplicity 2)
Fe 0.000 0.500 0.500 (multiplicity 2)
Fe 0.500 0.500 0.000 (multiplicity 1)

Largest 10 diffraction maxima, in order of falling intensity, 10 to 90 degrees two-theta:
hkl 2 0 3, d 2.370, 2θ 37.96, I = 100
hkl 1 1 0, d 4.298, 2θ 20.67, I = 88
hkl 1 1 3, d 2.842, 2θ 31.48, I = 85
hkl 2 2 0, d 2.149, 2θ 42.04, I = 67
hkl 2 0 2, d 2.680, 2θ 33.44, I = 44
hkl 2 0 0, d 3.039, 2θ 29.39, I = 40
hkl 3 1 3, d 1.714, 2θ 53.46, I = 37
hkl 1 1 2, d 3.428, 2θ 25.99, I = 31
hkl 2 2 5, d 1.561, 2θ 59.17, I = 29
hkl 4 0 0, d 1.519, 2θ 60.98, I = 27